# 1
# Sc2Zn15Pd2
Simulated powder XRD pattern, Cu Kα. Input: a DFT-relaxed cell (PBE, Alexandria).

Structure:
```
Sc2Zn15Pd2
1.0
4.434 2.560 4.343
-4.434 2.560 4.343
0.000 -5.120 4.343
Sc Zn Pd
2 15 2
Cartesian
0.000 0.000 2.171
0.000 0.000 10.857
-2.217 -1.280 4.343
0.000 -2.631 4.109
-2.278 1.315 4.109
-1.301 -2.254 6.514
-2.603 0.000 6.514
-2.278 -1.315 8.919
-2.217 1.280 8.685
1.301 -2.254 6.514
0.000 2.560 4.343
-1.301 2.254 6.514
2.278 1.315 4.109
2.603 0.000 6.514
1.301 2.254 6.514
2.278 -1.315 8.919
0.000 2.631 8.919
0.000 0.000 5.071
0.000 0.000 7.957
```

Principal peaks in the range 10 to 80 degrees two-theta, in order of falling intensity:
2θ (°)  d/Å  I_rel
45.96  1.975  100
40.70  2.217  63
40.92  2.205  62
41.62  2.170  46
13.38  6.616  43
36.16  2.484  36
41.90  2.156  34
35.05  2.560  32
46.57  1.950  24
74.07  1.280  22
75.44  1.260  21
71.08  1.326  15

---

# 2
# LiReNi
Simulated powder XRD pattern, Cu Kα. Input: a DFT-relaxed cell (PBE, Alexandria).

Structure:
```
LiReNi
1.0
-2.224 2.373 3.272
2.224 -2.373 3.272
2.224 2.373 -3.272
Li Re Ni
2 2 2
Cartesian
-1.112 1.187 1.636
1.112 1.187 1.636
2.224 1.187 -0.842
0.000 1.187 4.114
0.000 0.000 0.000
0.000 2.373 0.000
```

Principal peaks in the range 10 to 80 degrees two-theta, in order of falling intensity:
2θ (°)  d/Å  I_rel
39.09  2.304  100
23.15  3.842  93
45.48  1.994  71
40.55  2.224  40
46.36  1.958  38
47.21  1.925  33
69.26  1.357  19
24.19  3.679  19
72.80  1.299  16
69.83  1.347  16
45.78  1.982  15
77.25  1.235  14

---

# 3
# Rb2BaPS4
Simulated powder XRD pattern, Cu Kα. Input: a DFT-relaxed cell (PBE, Alexandria).

Structure:
```
Rb2BaPS4
1.0
-3.929 3.929 4.443
3.929 -3.929 4.443
3.929 3.929 -4.443
Rb Ba P S
2 1 1 4
Cartesian
0.000 0.000 0.000
0.000 3.929 2.221
0.000 0.000 4.443
3.929 0.000 2.221
1.360 2.702 -1.056
5.155 1.360 1.056
2.568 1.226 3.386
-1.226 2.568 5.499
```

Principal peaks in the range 10 to 80 degrees two-theta, in order of falling intensity:
2θ (°)  d/Å  I_rel
25.68  3.470  100
41.65  2.169  51
22.63  3.929  41
32.24  2.777  36
46.99  1.934  24
27.29  3.268  19
52.06  1.757  18
63.95  1.456  15
52.77  1.735  11
53.62  1.709  11
68.04  1.378  10
63.19  1.471  10